Starting from DFT lattice parameters and positions (GGA-PBE), the PXRD pattern of SmAl20Cr2 was calculated for λ = 1.5418 Å (Cu Kα).

The 10 most intense peaks (2θ = 10–90°), sorted by position:
Position (°2θ)	I/Imax
17.40	58.1
20.43	97.3
30.37	27.7
35.21	50.3
36.88	100.0
39.53	69.9
41.05	96.6
41.54	70.9
53.96	46.6
74.44	42.2

```
data_SmAl20Cr2
_chemical_formula_sum 'Sm2 Al40 Cr4'
_cell_length_a 10.1957
_cell_length_b 10.1957
_cell_length_c 10.1957
_cell_angle_alpha 60.00
_cell_angle_beta 60.00
_cell_angle_gamma 60.00
_symmetry_space_group_name_H-M 'P 1'
_symmetry_Int_Tables_number 1
_symmetry_space_group_name_Hall 'P 1'
loop_
_atom_site_label
_atom_site_type_symbol
_atom_site_fract_x
_atom_site_fract_y
_atom_site_fract_z
Sm1 Sm 0.1250 0.1250 0.1250
Sm2 Sm 0.8750 0.8750 0.8750
Al1 Al 0.0000 0.0000 0.0000
Al2 Al 0.0000 0.0000 0.5000
Al3 Al 0.0000 0.5000 0.0000
Al4 Al 0.0568 0.3266 0.3266
Al5 Al 0.0568 0.3266 0.7901
Al6 Al 0.0568 0.7901 0.3266
Al7 Al 0.2099 0.6734 0.6734
Al8 Al 0.2099 0.6734 0.9432
Al9 Al 0.2099 0.9432 0.6734
Al10 Al 0.2380 0.2380 0.5120
Al11 Al 0.2380 0.5120 0.2380
Al12 Al 0.2380 0.5120 0.5120
Al13 Al 0.3266 0.0568 0.3266
Al14 Al 0.3266 0.0568 0.7901
Al15 Al 0.3266 0.3266 0.0568
Al16 Al 0.3266 0.3266 0.7901
Al17 Al 0.3266 0.7901 0.0568
Al18 Al 0.3266 0.7901 0.3266
Al19 Al 0.4880 0.4880 0.7620
Al20 Al 0.4880 0.7620 0.4880
Al21 Al 0.4880 0.7620 0.7620
Al22 Al 0.5000 0.0000 0.0000
Al23 Al 0.5120 0.2380 0.2380
Al24 Al 0.5120 0.2380 0.5120
Al25 Al 0.5120 0.5120 0.2380
Al26 Al 0.6734 0.2099 0.6734
Al27 Al 0.6734 0.2099 0.9432
Al28 Al 0.6734 0.6734 0.2099
Al29 Al 0.6734 0.6734 0.9432
Al30 Al 0.6734 0.9432 0.2099
Al31 Al 0.6734 0.9432 0.6734
Al32 Al 0.7620 0.4880 0.4880
Al33 Al 0.7620 0.4880 0.7620
Al34 Al 0.7620 0.7620 0.4880
Al35 Al 0.7901 0.0568 0.3266
Al36 Al 0.7901 0.3266 0.0568
Al37 Al 0.7901 0.3266 0.3266
Al38 Al 0.9432 0.2099 0.6734
Al39 Al 0.9432 0.6734 0.2099
Al40 Al 0.9432 0.6734 0.6734
Cr1 Cr 0.0000 0.5000 0.5000
Cr2 Cr 0.5000 0.0000 0.5000
Cr3 Cr 0.5000 0.5000 0.0000
Cr4 Cr 0.5000 0.5000 0.5000
```



Starting from DFT lattice parameters and positions (GGA-PBE), the PXRD pattern of PuClO was calculated for λ = 1.5418 Å (Cu Kα).

The 10 most intense peaks (2θ = 10–90°), sorted by position:
Position (°2θ)	I/Imax
12.89	40.5
25.81	100.0
31.70	60.6
34.45	81.4
41.40	20.1
45.44	28.6
51.38	24.9
53.01	37.1
58.24	36.1
58.51	16.8

```
data_PuClO
_chemical_formula_sum 'Pu2 Cl2 O2'
_cell_length_a 3.9921
_cell_length_b 3.9921
_cell_length_c 6.8693
_cell_angle_alpha 90.00
_cell_angle_beta 90.00
_cell_angle_gamma 90.00
_symmetry_space_group_name_H-M 'P 1'
_symmetry_Int_Tables_number 1
_symmetry_space_group_name_Hall 'P 1'
loop_
_atom_site_label
_atom_site_type_symbol
_atom_site_fract_x
_atom_site_fract_y
_atom_site_fract_z
Pu1 Pu 0.2500 0.2500 0.1713
Pu2 Pu 0.7500 0.7500 0.8287
Cl1 Cl 0.2500 0.2500 0.6317
Cl2 Cl 0.7500 0.7500 0.3683
O1 O 0.2500 0.7500 0.0000
O2 O 0.7500 0.2500 0.0000
```



Starting from DFT lattice parameters and positions (GGA-PBE), the PXRD pattern of TcAgO4 was calculated for λ = 1.5418 Å (Cu Kα).

The 10 most intense peaks (2θ = 10–90°), sorted by position:
Position (°2θ)	I/Imax
27.69	100.0
30.24	13.6
32.97	21.3
45.34	28.5
47.31	11.3
52.18	15.4
55.71	25.3
57.19	12.0
73.07	12.4
86.63	6.8

```
data_TcAgO4
_chemical_formula_sum 'Tc2 Ag2 O8'
_cell_length_a 7.0496
_cell_length_b 7.0496
_cell_length_c 7.0496
_cell_angle_alpha 134.66
_cell_angle_beta 134.66
_cell_angle_gamma 66.06
_symmetry_space_group_name_H-M 'P 1'
_symmetry_Int_Tables_number 1
_symmetry_space_group_name_Hall 'P 1'
loop_
_atom_site_label
_atom_site_type_symbol
_atom_site_fract_x
_atom_site_fract_y
_atom_site_fract_z
Tc1 Tc 0.3750 0.1250 0.2500
Tc2 Tc 0.6250 0.8750 0.7500
Ag1 Ag 0.1250 0.3750 0.7500
Ag2 Ag 0.8750 0.6250 0.2500
O1 O 0.1608 0.2742 0.3514
O2 O 0.2258 0.0772 0.8866
O3 O 0.3094 0.6608 0.3866
O4 O 0.4228 0.8094 0.1486
O5 O 0.5772 0.1906 0.8514
O6 O 0.6906 0.3392 0.6134
O7 O 0.7742 0.9228 0.1134
O8 O 0.8392 0.7258 0.6486
```



Starting from DFT lattice parameters and positions (GGA-PBE), the PXRD pattern of Na4Bi2C4SO16 was calculated for λ = 1.5418 Å (Cu Kα).

The 10 most intense peaks (2θ = 10–90°), sorted by position:
Position (°2θ)	I/Imax
10.46	100.0
19.98	97.4
20.37	39.7
21.02	69.1
24.10	35.8
31.50	46.4
34.34	26.3
34.81	47.0
40.62	48.3
54.24	29.5

```
data_Na4Bi2C4SO16
_chemical_formula_sum 'Na8 Bi4 C8 S2 O32'
_cell_length_a 10.4456
_cell_length_b 10.3183
_cell_length_c 10.3057
_cell_angle_alpha 60.86
_cell_angle_beta 59.63
_cell_angle_gamma 59.51
_symmetry_space_group_name_H-M 'P 1'
_symmetry_Int_Tables_number 1
_symmetry_space_group_name_Hall 'P 1'
loop_
_atom_site_label
_atom_site_type_symbol
_atom_site_fract_x
_atom_site_fract_y
_atom_site_fract_z
Na1 Na 0.0576 0.4424 0.4424
Na2 Na 0.2033 0.7967 0.7967
Na3 Na 0.2044 0.7956 0.2044
Na4 Na 0.2046 0.2046 0.7954
Na5 Na 0.4424 0.0576 0.0576
Na6 Na 0.7954 0.7954 0.2046
Na7 Na 0.7956 0.2044 0.7956
Na8 Na 0.7967 0.2033 0.2033
Bi1 Bi 0.1258 0.6299 0.6285
Bi2 Bi 0.6157 0.6285 0.6299
Bi3 Bi 0.6285 0.6157 0.1258
Bi4 Bi 0.6299 0.1258 0.6157
C1 C 0.4038 0.4055 0.4036
C2 C 0.4036 0.7870 0.4038
C3 C 0.4055 0.4038 0.7870
C4 C 0.4518 0.8543 0.8526
C5 C 0.7870 0.4036 0.4055
C6 C 0.8412 0.8526 0.8543
C7 C 0.8526 0.8412 0.4518
C8 C 0.8543 0.4518 0.8412
S1 S 0.0000 0.0000 0.0000
S2 S 0.2500 0.2500 0.2500
O1 O 0.0575 0.0597 0.0598
O2 O 0.0597 0.0575 0.8230
O3 O 0.0598 0.8230 0.0575
O4 O 0.1884 0.1953 0.4276
O5 O 0.1887 0.4276 0.1953
O6 O 0.1953 0.1884 0.1887
O7 O 0.2716 0.4081 0.5242
O8 O 0.2804 0.7815 0.4082
O9 O 0.2814 0.5307 0.7796
O10 O 0.4081 0.2716 0.7961
O11 O 0.4082 0.5299 0.2804
O12 O 0.4082 0.7796 0.5307
O13 O 0.4276 0.1887 0.1884
O14 O 0.4474 0.7381 0.8389
O15 O 0.4515 0.8397 0.9862
O16 O 0.4524 0.9848 0.7371
O17 O 0.5242 0.7961 0.2716
O18 O 0.5299 0.4082 0.7815
O19 O 0.5307 0.2814 0.4082
O20 O 0.7227 0.9862 0.8397
O21 O 0.7371 0.8257 0.4524
O22 O 0.7381 0.4474 0.9756
O23 O 0.7796 0.4082 0.2814
O24 O 0.7815 0.2804 0.5299
O25 O 0.7961 0.5242 0.4081
O26 O 0.8230 0.0598 0.0597
O27 O 0.8257 0.7371 0.9848
O28 O 0.8389 0.9756 0.4474
O29 O 0.8397 0.4515 0.7227
O30 O 0.9756 0.8389 0.7381
O31 O 0.9848 0.4524 0.8257
O32 O 0.9862 0.7227 0.4515
```



Starting from DFT lattice parameters and positions (GGA-PBE), the PXRD pattern of K2RbLuCl6 was calculated for λ = 1.5418 Å (Cu Kα).

The 10 most intense peaks (2θ = 10–90°), sorted by position:
Position (°2θ)	I/Imax
13.52	38.4
15.62	97.1
22.16	100.0
31.54	82.2
35.38	46.7
38.88	43.2
45.20	54.0
48.11	24.2
50.90	24.9
61.12	26.5

```
data_K2RbLuCl6
_chemical_formula_sum 'K2 Rb1 Lu1 Cl6'
_cell_length_a 8.0236
_cell_length_b 8.0236
_cell_length_c 8.0236
_cell_angle_alpha 60.00
_cell_angle_beta 60.00
_cell_angle_gamma 60.00
_symmetry_space_group_name_H-M 'P 1'
_symmetry_Int_Tables_number 1
_symmetry_space_group_name_Hall 'P 1'
loop_
_atom_site_label
_atom_site_type_symbol
_atom_site_fract_x
_atom_site_fract_y
_atom_site_fract_z
K1 K 0.2500 0.2500 0.2500
K2 K 0.7500 0.7500 0.7500
Rb1 Rb 0.0000 0.0000 0.0000
Lu1 Lu 0.5000 0.5000 0.5000
Cl1 Cl 0.2730 0.2730 0.7270
Cl2 Cl 0.2730 0.7270 0.2730
Cl3 Cl 0.2730 0.7270 0.7270
Cl4 Cl 0.7270 0.2730 0.2730
Cl5 Cl 0.7270 0.2730 0.7270
Cl6 Cl 0.7270 0.7270 0.2730
```



Starting from DFT lattice parameters and positions (GGA-PBE), the PXRD pattern of In2AgS3Br was calculated for λ = 1.5418 Å (Cu Kα).

The 10 most intense peaks (2θ = 10–90°), sorted by position:
Position (°2θ)	I/Imax
14.00	28.6
22.44	52.8
26.39	61.5
26.54	46.3
26.84	31.0
32.19	100.0
35.60	40.2
42.19	28.7
45.80	75.1
48.57	42.0

```
data_In2AgS3Br
_chemical_formula_sum 'In4 Ag2 S6 Br2'
_cell_length_a 7.8079
_cell_length_b 7.8079
_cell_length_c 7.8079
_cell_angle_alpha 60.99
_cell_angle_beta 60.99
_cell_angle_gamma 60.99
_symmetry_space_group_name_H-M 'P 1'
_symmetry_Int_Tables_number 1
_symmetry_space_group_name_Hall 'P 1'
loop_
_atom_site_label
_atom_site_type_symbol
_atom_site_fract_x
_atom_site_fract_y
_atom_site_fract_z
In1 In 0.0000 0.0000 0.0000
In2 In 0.0000 0.0000 0.5000
In3 In 0.0000 0.5000 0.0000
In4 In 0.5000 0.0000 0.0000
Ag1 Ag 0.4195 0.4195 0.4195
Ag2 Ag 0.5805 0.5805 0.5805
S1 S 0.2078 0.7589 0.7589
S2 S 0.2411 0.2411 0.7922
S3 S 0.2411 0.7922 0.2411
S4 S 0.7589 0.2078 0.7589
S5 S 0.7589 0.7589 0.2078
S6 S 0.7922 0.2411 0.2411
Br1 Br 0.2617 0.2617 0.2617
Br2 Br 0.7383 0.7383 0.7383
```